For HfMn2Pd5, a GGA-PBE-relaxed structure gives the calculated X-ray powder pattern in this record (λ = 1.5418 Å (Cu Kα)).

Largest 8 diffraction maxima, most intense first, 2θ from 10° to 90°:
2θ 39.1, I = 100
2θ 46.1, I = 28
2θ 44.3, I = 19
2θ 65.9, I = 19
2θ 78.1, I = 13
2θ 80.8, I = 9
2θ 40.0, I = 7
2θ 80.6, I = 6

Cell and atoms:
```
HfMn2Pd5
1.0
5.5757 0.0000 0.0000
0.0000 11.1189 0.0000
0.0000 0.0000 4.0897
Hf Mn Pd
2 4 10
direct
0.0000 0.0000 0.0000
0.5000 0.5000 0.0000
0.2016 0.3606 0.5000
0.2984 0.8606 0.5000
0.7016 0.1394 0.5000
0.7984 0.6394 0.5000
0.0000 0.5000 0.0000
0.0446 0.7571 0.0000
0.2204 0.1156 0.5000
0.2796 0.6156 0.5000
0.4554 0.2571 0.0000
0.5000 0.0000 0.0000
0.5446 0.7429 0.0000
0.7204 0.3844 0.5000
0.7796 0.8844 0.5000
0.9554 0.2429 0.0000
```

=====

For Hf2MnPd6, a GGA-PBE-relaxed structure gives the calculated X-ray powder pattern in this record (λ = 1.5418 Å (Cu Kα)).

Largest 8 diffraction maxima, most intense first, 2θ from 10° to 90°:
2θ 42.3, I = 100
2θ 38.6, I = 89
2θ 40.8, I = 89
2θ 32.5, I = 57
2θ 45.7, I = 46
2θ 37.3, I = 35
2θ 76.7, I = 34
2θ 39.1, I = 32

Cell and atoms:
```
Hf2MnPd6
1.0
6.9994 -3.6024 0.0000
6.9994 3.6024 0.0000
-0.0061 0.0000 3.0567
Hf Mn Pd
2 1 6
direct
0.1905 0.1905 0.4985
0.8095 0.8095 0.5015
0.5000 0.5000 0.0000
0.1502 0.5344 0.0008
0.1897 0.8103 0.5000
0.4656 0.8498 0.9992
0.5344 0.1502 0.0008
0.8103 0.1897 0.5000
0.8498 0.4656 0.9992
```

=====

For Hf2MnPd7, a GGA-PBE-relaxed structure gives the calculated X-ray powder pattern in this record (λ = 1.5418 Å (Cu Kα)).

Largest 8 diffraction maxima, most intense first, 2θ from 10° to 90°:
2θ 41.2, I = 100
2θ 43.9, I = 69
2θ 46.0, I = 54
2θ 30.6, I = 45
2θ 24.6, I = 42
2θ 33.1, I = 41
2θ 44.4, I = 41
2θ 52.2, I = 39

Cell and atoms:
```
Hf2MnPd7
1.0
4.0785 -7.7915 0.0000
4.0785 7.7915 0.0000
0.0000 0.0000 2.9197
Hf Mn Pd
2 1 7
direct
0.1700 0.8300 0.0000
0.8300 0.1700 0.0000
0.5000 0.5000 0.5000
0.0000 0.0000 0.0000
0.1896 0.3755 0.0000
0.3104 0.6896 0.5000
0.3755 0.1896 0.0000
0.6245 0.8104 0.0000
0.6896 0.3104 0.5000
0.8104 0.6245 0.0000
```

=====

For Hf8MnPt2, a GGA-PBE-relaxed structure gives the calculated X-ray powder pattern in this record (λ = 1.5418 Å (Cu Kα)).

Largest 8 diffraction maxima, most intense first, 2θ from 10° to 90°:
2θ 38.3, I = 100
2θ 35.0, I = 96
2θ 36.1, I = 89
2θ 36.4, I = 87
2θ 34.8, I = 51
2θ 37.1, I = 41
2θ 31.1, I = 35
2θ 67.1, I = 30

Cell and atoms:
```
Hf8MnPt2
1.0
7.7427 -2.3508 0.0000
7.7427 2.3508 0.0000
-1.0094 0.0000 6.0978
Hf Mn Pt
8 1 2
direct
0.0263 0.0263 0.2550
0.1902 0.1902 0.8054
0.3416 0.3416 0.5458
0.4125 0.4125 0.0641
0.5875 0.5875 0.9359
0.6584 0.6584 0.4542
0.8098 0.8098 0.1946
0.9737 0.9737 0.7450
0.5000 0.5000 0.5000
0.2032 0.2032 0.2330
0.7968 0.7968 0.7670
```